Starting from a structure optimized by DFT (PBE), the PXRD pattern of Tm6Si2Pb was simulated for Cu Kα (λ = 1.5418 Å).
Kinematic intensities with the Lorentz-polarization factor, no thermal factor.

The 10 most intense peaks (2θ = 10–80°), in order of rising 2θ:
2θ = 27.83°, 3.206 Å, I 17; 2θ = 29.41°, 3.037 Å, I 14; 2θ = 30.16°, 2.964 Å, I 24; 2θ = 32.02°, 2.795 Å, I 100; 2θ = 33.89°, 2.645 Å, I 21; 2θ = 34.58°, 2.594 Å, I 34; 2θ = 35.19°, 2.550 Å, I 35; 2θ = 37.71°, 2.385 Å, I 17; 2θ = 38.50°, 2.338 Å, I 18; 2θ = 60.18°, 1.538 Å, I 18

Unit cell a=8.410 b=8.410 c=8.410 alpha=112.43 beta=110.87 gamma=105.20
Element x y z (fractional)
Tm1 0.032 0.241 0.791
Tm2 0.186 0.280 0.466
Tm3 0.186 0.720 0.907
Tm4 0.320 0.023 0.703
Tm5 0.320 0.617 0.297
Tm6 0.450 0.241 0.209
Tm7 0.550 0.759 0.791
Tm8 0.680 0.383 0.703
Tm9 0.680 0.977 0.297
Tm10 0.814 0.280 0.093
Tm11 0.814 0.720 0.534
Tm12 0.968 0.759 0.209
Si1 0.116 0.616 0.500
Si2 0.370 0.000 0.370
Si3 0.630 0.000 0.630
Si4 0.884 0.384 0.500
Pb1 0.000 0.000 0.000
Pb2 0.500 0.500 0.000